Theoretical powder X-ray diffraction pattern of Cu2Sb for Cu Kα, 1.54184 Å, from DFT lattice parameters and positions (PBE).
Kinematic intensities with the Lorentz-polarization factor, no thermal factor.

Structural model:
Unit cell a=4.009 b=4.009 c=6.149 alpha=90.00 beta=90.00 gamma=90.00
Space group P4/nmm (No. 129, origin choice 2)
Inequivalent atoms, fractional coordinates:
Cu: 0.250 0.250 0.234
Cu: 0.250 0.750 0.500
Sb: 0.250 0.250 0.802

Top 12 peaks for 2θ = 15–90°, low angle first:
index  d/Å  Rel. int.
1 0 1  3.358  14.4
0 0 2  3.074  12.5
1 1 0  2.835  32.8
1 1 1  2.574  45.6
1 0 2  2.440  10.5
1 1 2  2.084  100.0
0 0 3  2.050  15.8
2 0 0  2.004  54.8
2 0 3  1.433  18.8
2 2 0  1.417  16.8
3 1 2  1.172  28.2
1 1 5  1.128  11.8

Theoretical powder X-ray diffraction pattern of LaSe2O9 for Cu Kα, 1.54184 Å, from DFT lattice parameters and positions (PBE).
Kinematic intensities with the Lorentz-polarization factor, no thermal factor.

Structural model:
Unit cell a=7.441 b=9.393 c=13.436 alpha=90.00 beta=116.56 gamma=90.00
Space group P2_1/c (No. 14)
Inequivalent atoms, fractional coordinates:
La: 0.192 0.100 0.436
Se: 0.019 0.712 0.383
Se: 0.411 0.613 0.178
O: 0.052 0.685 0.644
O: 0.087 0.129 0.241
O: 0.119 0.638 0.862
O: 0.160 0.570 0.097
O: 0.167 0.247 0.583
O: 0.196 0.614 0.481
O: 0.387 0.155 0.960
O: 0.497 0.037 0.407
O: 0.497 0.528 0.299

Top 12 peaks for 2θ = 15–90°, low angle first:
index  d/Å  Rel. int.
0 2 1  4.375  93.0
1 2 0  3.837  33.0
1 0 2  3.710  19.9
2 0 -2  3.694  69.0
1 1 2  3.448  76.3
2 1 -1  3.407  76.7
1 0 -4  3.359  59.7
1 2 -3  3.216  57.7
0 2 3  3.048  19.6
2 2 -1  2.884  29.8
0 3 2  2.776  100.0
3 2 -5  1.984  44.1

Theoretical powder X-ray diffraction pattern of Zn2CrN3 for Cu Kα, 1.54184 Å, from DFT lattice parameters and positions (PBE).
Kinematic intensities with the Lorentz-polarization factor, no thermal factor.

Structural model:
Unit cell a=9.581 b=5.575 c=5.249 alpha=90.00 beta=90.00 gamma=90.00
Space group Cmc2_1 (No. 36)
Inequivalent atoms, fractional coordinates:
Zn: 0.165 0.167 0.000
Cr: 0.000 0.337 0.513
N: 0.000 0.361 0.160
N: 0.152 0.182 0.610

Top 12 peaks for 2θ = 15–90°, low angle first:
index  d/Å  Rel. int.
0 2 0  2.788  22.8
3 1 0  2.771  46.6
0 0 2  2.625  56.8
0 2 1  2.462  52.6
3 1 1  2.451  100.0
3 1 2  1.906  20.8
3 3 0  1.606  29.8
6 0 0  1.597  14.5
0 2 3  1.482  15.4
3 1 3  1.480  29.7
3 3 2  1.370  25.7
6 2 1  1.340  14.7

Theoretical powder X-ray diffraction pattern of LaSF for Cu Kα, 1.54184 Å, from DFT lattice parameters and positions (PBE).
Kinematic intensities with the Lorentz-polarization factor, no thermal factor.

Structural model:
Unit cell a=4.053 b=4.053 c=7.023 alpha=90.00 beta=90.00 gamma=90.00
Space group P4/nmm (No. 129, origin choice 2)
Inequivalent atoms, fractional coordinates:
La: 0.250 0.250 0.232
S: 0.250 0.250 0.649
F: 0.250 0.750 0.000

Top 12 peaks for 2θ = 15–90°, low angle first:
index  d/Å  Rel. int.
0 0 2  3.510  100.0
1 1 0  2.866  43.1
1 0 2  2.654  14.0
1 1 2  2.220  48.7
2 0 0  2.027  52.0
2 0 2  1.755  39.2
1 0 4  1.611  9.0
2 2 0  1.433  25.3
1 0 5  1.327  22.0
3 1 0  1.282  7.3
3 1 2  1.204  12.7
2 1 5  1.110  16.4

Please write out number 4 again, unchanged.
Theoretical powder X-ray diffraction pattern of LaSF for Cu Kα, 1.54184 Å, from DFT lattice parameters and positions (PBE).
Kinematic intensities with the Lorentz-polarization factor, no thermal factor.

Structural model:
Unit cell a=4.053 b=4.053 c=7.023 alpha=90.00 beta=90.00 gamma=90.00
Space group P4/nmm (No. 129, origin choice 2)
Inequivalent atoms, fractional coordinates:
La: 0.250 0.250 0.232
S: 0.250 0.250 0.649
F: 0.250 0.750 0.000

Top 12 peaks for 2θ = 15–90°, low angle first:
index  d/Å  Rel. int.
0 0 2  3.510  100.0
1 1 0  2.866  43.1
1 0 2  2.654  14.0
1 1 2  2.220  48.7
2 0 0  2.027  52.0
2 0 2  1.755  39.2
1 0 4  1.611  9.0
2 2 0  1.433  25.3
1 0 5  1.327  22.0
3 1 0  1.282  7.3
3 1 2  1.204  12.7
2 1 5  1.110  16.4

What is the formula in the fourth record? LaSF